Theoretical powder diffraction line list
Compound: Ac15PmNd4
Radiation: copper Kα
Structure: a structure optimized by DFT (GGA-PBE)

Structural model:
a = 5.5436 Å, b = 5.5436 Å, c = 27.6073 Å
α = 90.00°, β = 90.00°, γ = 90.00°
Space group P4/mmm (No. 123)
Asymmetric unit:
Ac: 0.0000 0.0000 0.0000 x1
Ac: 0.0000 0.0000 0.1999 x2
Ac: 0.0000 0.0000 0.4001 x2
Ac: 0.0000 0.5000 0.0998 x4
Ac: 0.0000 0.5000 0.3000 x4
Ac: 0.0000 0.5000 0.5000 x2
Pm: 0.5000 0.5000 0.0000 x1
Nd: 0.5000 0.5000 0.2000 x2
Nd: 0.5000 0.5000 0.4000 x2

Largest 6 diffraction maxima, low angle first, 2θ from 15° to 90°:
d = 3.196 Å, 27.91 deg, rel. 100.0, (1 1 5); d = 2.772 Å, 32.30 deg, rel. 34.5, (2 0 0); d = 2.761 Å, 32.43 deg, rel. 17.0, (0 0 10); d = 1.957 Å, 46.39 deg, rel. 38.6, (2 2 0); d = 1.671 Å, 54.95 deg, rel. 31.5, (3 1 5); d = 1.666 Å, 55.13 deg, rel. 15.6, (1 1 15)